Ba3V2Ni6As4O24: computed X-ray powder pattern (Cu Kα), based on a crystal structure in the Materials Project, relaxed with GGA+U.
Lines closer than 0.1° are merged.

Cell and atoms:
Lattice parameters (Å, degrees): 5.045 8.398 13.347 76.88 79.11 72.52
Fractional coordinates of all 39 atoms:
Ba  0.000  0.000  0.000
Ba  0.333  0.000  0.333
Ba  0.667  0.000  0.666
V  0.098  0.279  0.524
V  0.432  0.279  0.857
Ni  0.107  0.507  0.276
Ni  0.225  0.492  0.056
Ni  0.442  0.506  0.610
Ni  0.560  0.492  0.389
Ni  0.776  0.506  0.944
Ni  0.893  0.491  0.723
As  0.236  0.719  0.809
As  0.569  0.720  0.142
As  0.765  0.280  0.191
As  0.902  0.719  0.475
O  0.033  0.653  0.594
O  0.062  0.346  0.187
O  0.140  0.934  0.785
O  0.158  0.653  0.375
O  0.173  0.347  0.959
O  0.194  0.063  0.548
O  0.271  0.653  0.146
O  0.299  0.347  0.737
O  0.367  0.653  0.927
O  0.400  0.347  0.520
O  0.474  0.934  0.118
O  0.491  0.653  0.708
O  0.508  0.346  0.291
O  0.527  0.063  0.881
O  0.605  0.653  0.479
O  0.633  0.346  0.072
O  0.699  0.653  0.261
O  0.733  0.347  0.854
O  0.807  0.934  0.452
O  0.825  0.653  0.041
O  0.839  0.347  0.626
O  0.860  0.065  0.215
O  0.938  0.653  0.812
O  0.966  0.347  0.404

The 10 most intense peaks (10° ≤ 2θ ≤ 90°), by angle:
| Position (°2θ) | I_rel | index |
| --- | --- | --- |
| 21.69 | 40 | 1 0 2 |
| 27.81 | 100 | 0 2 3 |
| 33.55 | 57 | 1 3 2 |
| 35.59 | 84 | 2 1 1 |
| 42.56 | 24 | 1 3 5 |
| 45.76 | 26 | 2 3 4 |
| 59.28 | 23 | 3 3 0 |
| 59.56 | 38 | 2 5 1 |
| 62.63 | 18 | 2 4 7 |
| 63.93 | 25 | 3 2 6 |

Li4Fe3TeO12: computed X-ray powder pattern (Cu Kα), based on a crystal structure in the Materials Project, relaxed with GGA+U.
Lines closer than 0.1° are merged.

Cell and atoms:
Lattice parameters (Å, degrees): 4.949 8.341 5.035 90.00 91.03 90.00
Fractional coordinates of all 20 atoms:
Li  0.000  0.000  0.000
Li  0.000  0.373  0.500
Li  0.500  0.475  0.500
Li  0.500  0.883  0.000
Fe  0.000  0.575  0.000
Fe  0.500  0.092  0.500
Fe  0.500  0.275  0.000
Te  0.000  0.777  0.500
O  0.199  0.598  0.325
O  0.208  0.759  0.824
O  0.244  0.932  0.340
O  0.249  0.422  0.851
O  0.305  0.263  0.318
O  0.307  0.102  0.814
O  0.693  0.102  0.186
O  0.695  0.263  0.682
O  0.751  0.422  0.149
O  0.756  0.932  0.660
O  0.792  0.759  0.176
O  0.801  0.598  0.675

The 10 most intense peaks (10° ≤ 2θ ≤ 90°), by angle:
| Position (°2θ) | I_rel | index |
| --- | --- | --- |
| 20.61 | 37 | 0 1 1 |
| 20.87 | 100 | 1 1 0 |
| 33.08 | 31 | 1 2 -1 |
| 33.44 | 28 | 1 2 1 |
| 36.93 | 12 | 0 3 1 |
| 41.41 | 12 | 1 1 -2 |
| 41.97 | 11 | 1 1 2 |
| 52.51 | 13 | 2 3 -1 |
| 53.01 | 13 | 2 3 1 |
| 64.91 | 10 | 0 3 3 |